Entry 1:
Theoretical X-ray powder pattern
Compound: Li2MnO2F
Radiation: Cu Ka
Structure: a DFT-relaxed cell (GGA+U, the Materials Project)
Neutral-atom scattering factors, no anomalous dispersion.

Cell and atoms:
Unit cell a=4.6244 b=5.1246 c=11.0746 alpha=89.37 beta=77.95 gamma=63.20
Atoms (fractional coordinates):
Li (0.1363, 0.0586, 0.2052)
Li (0.1510, 0.6918, 0.5442)
Li (0.3489, 0.8082, 0.9558)
Li (0.3632, 0.4416, 0.2947)
Li (0.6368, 0.5584, 0.7053)
Li (0.6511, 0.1918, 0.0442)
Li (0.8490, 0.3082, 0.4558)
Li (0.8637, 0.9414, 0.7948)
Mn (0.1274, 0.3747, 0.8744)
Mn (0.3733, 0.1256, 0.6253)
Mn (0.6267, 0.8744, 0.3747)
Mn (0.8726, 0.6253, 0.1256)
O (0.1050, 0.2337, 0.0383)
O (0.1277, 0.5170, 0.7115)
O (0.3733, 0.9829, 0.7884)
O (0.3948, 0.2665, 0.4616)
O (0.6052, 0.7335, 0.5384)
O (0.6267, 0.0171, 0.2116)
O (0.8723, 0.4830, 0.2885)
O (0.8950, 0.7663, 0.9617)
F (0.1251, 0.8747, 0.3748)
F (0.3746, 0.6253, 0.1252)
F (0.6254, 0.3747, 0.8748)
F (0.8749, 0.1253, 0.6252)

Most intense lines, 10 to 90 degrees two-theta, in order of rising 2θ:
2theta  intensity
20.44  75.0
21.77  100.0
33.22  33.9
38.95  54.7
42.79  20.4
44.66  34.5
44.76  34.3
60.77  46.6


Entry 2:
Theoretical X-ray powder pattern
Compound: LiMn2O3F
Radiation: Cu Ka
Structure: a DFT-relaxed cell (GGA+U, the Materials Project)
Neutral-atom scattering factors, no anomalous dispersion.

Cell and atoms:
Unit cell a=6.0392 b=6.0392 c=6.0138 alpha=118.37 beta=118.37 gamma=58.19
Atoms (fractional coordinates):
Li (0.0000, 0.0000, 0.0000)
Li (0.6503, 0.6503, 0.4267)
Mn (0.1474, 0.6576, 0.4206)
Mn (0.2819, 0.2819, 0.8183)
Mn (0.6455, 0.6455, 0.9002)
Mn (0.6576, 0.1474, 0.4206)
O (0.4048, 0.4048, 0.2185)
O (0.4153, 0.8714, 0.6813)
O (0.4201, 0.4201, 0.6709)
O (0.8642, 0.8642, 0.1543)
O (0.8714, 0.4153, 0.6813)
O (0.8838, 0.8838, 0.6078)
F (0.4039, 0.8692, 0.1448)
F (0.8692, 0.4039, 0.1448)

Most intense lines, 10 to 90 degrees two-theta, in order of rising 2θ:
2theta  intensity
18.10  100.0
29.63  27.6
33.40  32.9
35.35  63.4
40.75  23.5
43.07  39.1
60.05  25.3
61.50  24.4


Entry 3:
Theoretical X-ray powder pattern
Compound: LiMn6O4F8
Radiation: Cu Ka
Structure: a DFT-relaxed cell (GGA+U, the Materials Project)
Neutral-atom scattering factors, no anomalous dispersion.

Cell and atoms:
Unit cell a=5.3066 b=6.2174 c=7.9523 alpha=80.90 beta=84.36 gamma=80.34
Atoms (fractional coordinates):
Li (0.0000, 0.0000, 0.0000)
Mn (0.2876, 0.9237, 0.4229)
Mn (0.3052, 0.2507, 0.1090)
Mn (0.3147, 0.5706, 0.7604)
Mn (0.6616, 0.0432, 0.7066)
Mn (0.6943, 0.6554, 0.0669)
Mn (0.8210, 0.4660, 0.4716)
O (0.1592, 0.9987, 0.2045)
O (0.4427, 0.5013, 0.9885)
O (0.4481, 0.8471, 0.6326)
O (0.5640, 0.3718, 0.6614)
F (0.0946, 0.6391, 0.5370)
F (0.1177, 0.2651, 0.9014)
F (0.4787, 0.2091, 0.3213)
F (0.5759, 0.7162, 0.3199)
F (0.6301, 0.0115, 0.9860)
F (0.9785, 0.4635, 0.2146)
F (0.9871, 0.1163, 0.5332)
F (0.9882, 0.7578, 0.8621)

Most intense lines, 10 to 90 degrees two-theta, in order of rising 2θ:
2theta  intensity
21.91  100.0
26.37  91.6
33.18  17.5
33.37  19.6
35.68  24.2
37.36  24.9
51.34  23.5
55.29  15.1


Entry 4:
Theoretical X-ray powder pattern
Compound: LiMnOF2
Radiation: Cu Ka
Structure: a DFT-relaxed cell (GGA+U, the Materials Project)
Neutral-atom scattering factors, no anomalous dispersion.

Cell and atoms:
Unit cell a=5.3805 b=8.6829 c=10.1883 alpha=89.65 beta=83.22 gamma=88.28
Atoms (fractional coordinates):
Li (0.0000, 0.0000, 0.0000)
Li (0.0239, 0.5120, 0.4722)
Li (0.1053, 0.5081, 0.0804)
Li (0.1453, 0.0108, 0.5877)
Li (0.5117, 0.6940, 0.4863)
Li (0.5394, 0.2147, 0.9918)
Li (0.6149, 0.6906, 0.0718)
Li (0.6471, 0.1921, 0.6013)
Mn (0.0556, 0.6850, 0.7914)
Mn (0.0779, 0.3179, 0.8040)
Mn (0.0779, 0.8110, 0.2707)
Mn (0.0845, 0.1965, 0.2728)
Mn (0.4311, 0.9611, 0.8389)
Mn (0.5758, 0.5121, 0.7948)
Mn (0.5898, 0.3773, 0.2734)
Mn (0.5946, 0.0192, 0.2793)
O (0.1847, 0.8192, 0.9022)
O (0.1871, 0.5055, 0.8806)
O (0.2446, 0.1394, 0.8989)
O (0.4718, 0.1945, 0.1906)
O (0.7275, 0.6791, 0.8728)
O (0.7464, 0.3588, 0.8794)
O (0.9145, 0.3451, 0.1850)
O (0.9340, 0.0242, 0.1968)
F (0.2048, 0.6848, 0.4176)
F (0.2429, 0.3570, 0.3823)
F (0.2454, 0.0269, 0.3896)
F (0.4087, 0.6666, 0.6798)
F (0.4253, 0.5221, 0.1429)
F (0.4291, 0.8601, 0.1631)
F (0.4307, 0.3499, 0.6855)
F (0.4698, 0.0112, 0.6437)
F (0.6999, 0.5193, 0.4041)
F (0.7033, 0.8526, 0.3897)
F (0.7099, 0.0296, 0.9251)
F (0.7365, 0.1910, 0.4147)
F (0.9164, 0.6794, 0.1437)
F (0.9462, 0.5288, 0.6619)
F (0.9710, 0.1898, 0.6624)
F (0.9785, 0.8430, 0.6742)

Most intense lines, 10 to 90 degrees two-theta, in order of rising 2θ:
2theta  intensity
13.44  28.4
17.53  100.0
26.85  15.9
28.39  14.4
31.16  13.1
39.99  25.0
42.90  20.1
43.76  18.9